Record 1
This entry pairs a crystal structure of BaLiAl3P2H2O14 with its computed X-ray diffraction stick pattern. Radiation: Cu Kα. Structure: the GGA-PBE geometry in the Materials Project.
Kinematic intensities with the Lorentz-polarization factor, no thermal factor.

Principal peaks in the range 15° ≤ 2θ ≤ 90°, low angle first:
| 2θ (°) | I (rel.) | h k l |
| --- | --- | --- |
| 15.36 | 1000 | 1 1 0 |
| 24.38 | 389 | 3 1 -1 |
| 26.52 | 251 | 0 2 0 |
| 27.27 | 459 | 3 1 0 |
| 28.83 | 294 | 3 1 -2 |
| 29.96 | 197 | 0 2 1 |
| 35.21 | 215 | 1 1 2 |
| 36.15 | 152 | 2 0 -3 |
| 38.49 | 156 | 4 2 -1 |
| 48.27 | 180 | 3 3 -2 |

Cell and atoms:
a b c (Å): 13.0855 6.7216 7.5377
angles (deg): 90.00 120.89 90.00
Space group Cm (No. 8)
Asymmetric unit:
Ba (0.0000, 0.0000, 0.0000)
Li (0.2808, 0.5000, 0.4040)
Al (0.2383, 0.2284, 0.5048)
Al (0.4960, 0.5000, 0.5011)
P (0.2148, 0.5000, 0.0994)
P (0.2650, 0.0000, 0.8712)
H (0.1850, 0.5000, 0.6604)
H (0.3054, 0.0000, 0.3247)
O (0.0848, 0.1154, 0.3965)
O (0.1252, 0.0000, 0.7687)
O (0.1543, 0.5000, 0.8706)
O (0.1852, 0.3153, 0.2032)
O (0.1914, 0.5000, 0.5334)
O (0.2964, 0.0000, 0.4493)
O (0.2975, 0.1850, 0.7787)
O (0.3287, 0.0000, 0.1019)
O (0.3577, 0.5000, 0.2238)
O (0.4069, 0.3815, 0.6063)

Record 2
This entry pairs a crystal structure of Ag3Bi with its computed X-ray diffraction stick pattern. Radiation: Cu Kα. Structure: the GGA-PBE geometry in the Materials Project.
Kinematic intensities with the Lorentz-polarization factor, no thermal factor.

Principal peaks in the range 15° ≤ 2θ ≤ 90°, low angle first:
| 2θ (°) | I (rel.) | h k l |
| --- | --- | --- |
| 27.78 | 55 | 0 0 3 |
| 31.73 | 279 | 1 0 0 |
| 33.10 | 78 | 1 0 1 |
| 36.94 | 1000 | 1 0 2 |
| 37.34 | 193 | 0 0 4 |
| 49.79 | 151 | 1 0 4 |
| 56.52 | 193 | 1 1 0 |
| 67.08 | 147 | 1 0 6 |
| 69.46 | 153 | 2 0 2 |
| 69.72 | 180 | 1 1 4 |

Cell and atoms:
a b c (Å): 3.2562 3.2562 9.6335
angles (deg): 90.00 90.00 120.00
Space group P-6m2 (No. 187)
Asymmetric unit:
Ag (0.0000, 0.0000, 0.0000)
Ag (0.6667, 0.3333, 0.2277)
Bi (0.0000, 0.0000, 0.5000)

Record 3
This entry pairs a crystal structure of YMg with its computed X-ray diffraction stick pattern. Radiation: Cu Kα. Structure: the GGA-PBE geometry in the Materials Project.
Kinematic intensities with the Lorentz-polarization factor, no thermal factor.

Principal peaks in the range 15° ≤ 2θ ≤ 90°, low angle first:
| 2θ (°) | I (rel.) | h k l |
| --- | --- | --- |
| 26.38 | 218 | 1 0 4 |
| 29.21 | 230 | 0 1 3 |
| 30.13 | 160 | 1 1 1 |
| 32.85 | 342 | 2 0 0 |
| 33.61 | 1000 | 1 1 3 |
| 35.34 | 375 | 1 0 6 |
| 44.54 | 215 | 0 1 7 |
| 54.26 | 147 | 0 1 9 |
| 59.13 | 187 | 3 1 3 |
| 64.90 | 164 | 2 1 9 |

Cell and atoms:
a b c (Å): 5.4531 3.6124 17.2179
angles (deg): 90.00 90.00 90.00
Space group Amm2 (No. 38)
Asymmetric unit:
Y (0.0000, 0.0000, 0.0000)
Y (0.0000, 0.0000, 0.3196)
Y (0.5000, 0.0000, 0.8786)
Mg (0.0000, 0.0000, 0.6579)
Mg (0.5000, 0.0000, 0.2073)
Mg (0.5000, 0.0000, 0.5476)

Record 4
This entry pairs a crystal structure of Dy2MgS4 with its computed X-ray diffraction stick pattern. Radiation: Cu Kα. Structure: the GGA-PBE geometry in the Materials Project.
Kinematic intensities with the Lorentz-polarization factor, no thermal factor.

Principal peaks in the range 15° ≤ 2θ ≤ 90°, low angle first:
| 2θ (°) | I (rel.) | h k l |
| --- | --- | --- |
| 16.18 | 324 | 1 -1 0 |
| 21.03 | 1000 | 0 0 3 |
| 24.70 | 402 | 1 2 -1 |
| 25.04 | 750 | 1 2 0 |
| 26.27 | 410 | 1 2 -2 |
| 26.38 | 751 | 2 0 1 |
| 31.01 | 437 | 1 -2 3 |
| 43.22 | 293 | 0 4 -1 |
| 43.31 | 583 | 3 -2 0 |
| 47.74 | 364 | 1 -2 6 |

Cell and atoms:
a b c (Å): 7.2315 8.3722 12.9162
angles (deg): 99.54 95.65 90.01
Space group P-1 (No. 2)
Asymmetric unit:
Dy (0.1321, 0.4450, 0.3043)
Dy (0.1337, 0.9573, 0.3078)
Dy (0.2586, 0.1276, 0.0006)
Dy (0.3648, 0.2997, 0.6940)
Mg (0.2508, 0.6225, 0.9963)
Mg (0.3663, 0.7996, 0.7002)
S (0.0959, 0.4070, 0.1018)
S (0.1057, 0.8971, 0.1045)
S (0.1946, 0.5434, 0.6289)
S (0.1963, 0.0212, 0.6293)
S (0.3085, 0.7182, 0.3753)
S (0.3303, 0.2188, 0.3721)
S (0.3929, 0.8448, 0.8926)
S (0.4060, 0.3547, 0.8968)

Record 5
This entry pairs a crystal structure of La2Al4O9 with its computed X-ray diffraction stick pattern. Radiation: Cu Kα. Structure: the GGA-PBE geometry in the Materials Project.
Kinematic intensities with the Lorentz-polarization factor, no thermal factor.

Principal peaks in the range 15° ≤ 2θ ≤ 90°, low angle first:
| 2θ (°) | I (rel.) | h k l |
| --- | --- | --- |
| 15.48 | 613 | 0 0 1 |
| 25.49 | 212 | 2 1 0 |
| 26.17 | 237 | 0 2 1 |
| 28.69 | 715 | 1 2 1 |
| 29.96 | 1000 | 2 1 1 |
| 31.25 | 253 | 0 0 2 |
| 33.83 | 219 | 1 3 0 |
| 40.76 | 427 | 2 1 2 |
| 47.28 | 234 | 1 4 1 |
| 58.40 | 321 | 3 3 2 |

Cell and atoms:
a b c (Å): 7.6706 8.4704 5.7238
angles (deg): 90.00 90.00 90.00
Space group Pbam (No. 55)
Asymmetric unit:
La (0.1507, 0.1778, 0.0000)
Al (0.0000, 0.5000, 0.2590)
Al (0.1420, 0.8389, 0.5000)
O (0.0000, 0.0000, 0.5000)
O (0.1038, 0.7186, 0.2491)
O (0.1474, 0.4270, 0.5000)
O (0.1543, 0.4491, 0.0000)

Record 6
This entry pairs a crystal structure of ThRu3C with its computed X-ray diffraction stick pattern. Radiation: Cu Kα. Structure: the GGA-PBE geometry in the Materials Project.
Kinematic intensities with the Lorentz-polarization factor, no thermal factor.

Principal peaks in the range 15° ≤ 2θ ≤ 90°, low angle first:
| 2θ (°) | I (rel.) | h k l |
| --- | --- | --- |
| 20.99 | 120 | 1 0 0 |
| 29.86 | 161 | 1 1 0 |
| 36.78 | 1000 | 1 1 1 |
| 42.73 | 531 | 2 0 0 |
| 48.07 | 67 | 2 1 0 |
| 53.00 | 68 | 2 1 1 |
| 62.03 | 349 | 2 2 0 |
| 74.34 | 386 | 3 1 1 |
| 78.25 | 119 | 2 2 2 |
| 85.94 | 38 | 3 2 1 |

Cell and atoms:
a b c (Å): 4.2321 4.2321 4.2321
angles (deg): 90.00 90.00 90.00
Space group Pm-3m (No. 221)
Asymmetric unit:
Th (0.0000, 0.0000, 0.0000)
Ru (0.0000, 0.5000, 0.5000)
C (0.5000, 0.5000, 0.5000)